Diffraction record for Sr2MgH6Rh. The PXRD pattern is calculated, not measured: it uses a DFT-relaxed cell (PBE, Alexandria) and Cu Kα (λ = 1.5418 Å).
No peak broadening, texture or thermal motion is included.

Structure:
```
data_Sr2MgH6Rh
_cell_length_a 5.511
_cell_length_b 5.511
_cell_length_c 4.980
_cell_angle_alpha 90.00
_cell_angle_beta 90.00
_cell_angle_gamma 120.00
_symmetry_space_group_name_H-M 'P 1'
_symmetry_Int_Tables_number 1
loop_
_symmetry_equiv_pos_as_xyz
'x,y,z'
loop_
_atom_site_label
_atom_site_fract_x
_atom_site_fract_y
_atom_site_fract_z
Sr1 0.333 0.667 0.286
Sr2 0.667 0.333 0.714
Mg1 0.000 0.000 0.000
H1 0.156 0.313 0.718
H2 0.156 0.844 0.718
H3 0.313 0.156 0.282
H4 0.687 0.844 0.718
H5 0.844 0.156 0.282
H6 0.844 0.687 0.282
Rh1 0.000 0.000 0.500
```

Principal peaks in the range 10 to 90 degrees two-theta, in order of falling intensity:
2θ (°)	I (rel.)
32.49	100
25.86	97
40.88	54
63.70	29
41.98	29
53.16	26
54.07	25
17.81	24
37.29	21
57.97	19
82.53	14
58.90	12